Record 1
Computed powder XRD pattern
Compound: PmPr6Ag
Radiation: a wavelength of 1.5418 Å
Structure: a GGA-PBE-relaxed structure
Kinematic intensities with the Lorentz-polarization factor, no thermal factor.

Crystal structure
```
data_PmPr6Ag
_chemical_formula_sum 'Pm1 Pr6 Ag1'
_space_group_name_H-M_alt 'P -1'
_space_group_IT_number 2
_space_group_name_Hall '-P 1'
_cell_length_a 6.524
_cell_length_b 6.524
_cell_length_c 6.526
_cell_angle_alpha 96.02
_cell_angle_beta 96.15
_cell_angle_gamma 96.18
loop_
_atom_site_label
_atom_site_type_symbol
_atom_site_fract_x
_atom_site_fract_y
_atom_site_fract_z
Pm1 Pm 0.000 0.000 0.000
Pr1 Pr 0.068 0.264 0.549
Pr2 Pr 0.263 0.548 0.069
Pr3 Pr 0.452 0.932 0.737
Ag1 Ag 0.500 0.500 0.500
```

Most intense lines, 2θ from 10° to 90°, low angle first:
| hkl | d/Å | intensity |
| --- | --- | --- |
| 1 1 1 | 3.342 | 25 |
| 2 0 0 | 3.220 | 25 |
| 1 0 -2 | 3.029 | 100 |
| -2 1 1 | 2.802 | 17 |
| 0 1 2 | 2.752 | 30 |
| 1 -1 2 | 2.683 | 91 |
| 2 1 1 | 2.402 | 14 |
| 0 1 3 | 1.968 | 21 |
| 1 2 -3 | 1.834 | 28 |
| 2 0 -4 | 1.514 | 14 |

=====

Record 2
Computed powder XRD pattern
Compound: Pm2PrAg4
Radiation: a wavelength of 1.5418 Å
Structure: a GGA-PBE-relaxed structure
Kinematic intensities with the Lorentz-polarization factor, no thermal factor.

Crystal structure
```
data_Pm2PrAg4
_chemical_formula_sum 'Pm4 Pr2 Ag8'
_space_group_name_H-M_alt 'I 4/m m m'
_space_group_IT_number 139
_space_group_name_Hall '-I 4 2'
_cell_length_a 5.490
_cell_length_b 5.490
_cell_length_c 12.842
_cell_angle_alpha 90.00
_cell_angle_beta 90.00
_cell_angle_gamma 90.00
loop_
_atom_site_label
_atom_site_type_symbol
_atom_site_fract_x
_atom_site_fract_y
_atom_site_fract_z
Pm1 Pm 0.000 0.000 0.222
Pr1 Pr 0.000 0.000 0.500
Ag1 Ag 0.000 0.500 0.122
```

Most intense lines, 2θ from 10° to 90°, low angle first:
| hkl | d/Å | intensity |
| --- | --- | --- |
| 1 0 3 | 3.376 | 29 |
| 2 0 0 | 2.745 | 79 |
| 1 1 4 | 2.474 | 100 |
| 2 1 3 | 2.130 | 16 |
| 2 2 0 | 1.941 | 28 |
| 3 1 4 | 1.527 | 43 |
| 2 1 7 | 1.470 | 10 |
| 2 0 8 | 1.386 | 9 |
| 4 2 0 | 1.228 | 12 |
| 3 3 4 | 1.200 | 10 |

=====

Record 3
Computed powder XRD pattern
Compound: PmPr4Ag2
Radiation: a wavelength of 1.5418 Å
Structure: a GGA-PBE-relaxed structure
Kinematic intensities with the Lorentz-polarization factor, no thermal factor.

Crystal structure
```
data_PmPr4Ag2
_chemical_formula_sum 'Pm3 Pr12 Ag6'
_space_group_name_H-M_alt 'R -3 m'
_space_group_IT_number 166
_space_group_name_Hall '-R 3 2"'
_cell_length_a 5.5917
_cell_length_b 5.5917
_cell_length_c 26.0937
_cell_angle_alpha 90.00
_cell_angle_beta 90.00
_cell_angle_gamma 120.00
loop_
_atom_site_label
_atom_site_type_symbol
_atom_site_fract_x
_atom_site_fract_y
_atom_site_fract_z
Pm1 Pm 0.0000 0.0000 0.0000
Pr1 Pr 0.0000 0.0000 0.2277
Pr2 Pr 0.0000 0.0000 0.3731
Ag1 Ag 0.0000 0.0000 0.1116
```

Most intense lines, 2θ from 10° to 90°, low angle first:
| hkl | d/Å | intensity |
| --- | --- | --- |
| 1 0 1 | 4.761 | 11 |
| 0 1 5 | 3.550 | 20 |
| 1 1 0 | 2.796 | 100 |
| 0 1 8 | 2.705 | 55 |
| 1 1 9 | 2.013 | 19 |
| 2 0 8 | 1.944 | 21 |
| 3 0 0 | 1.614 | 19 |
| 1 2 8 | 1.596 | 22 |
| 2 2 0 | 1.398 | 12 |
| 3 1 8 | 1.242 | 10 |

=====

Record 4
Computed powder XRD pattern
Compound: Pm4Pr3Ag
Radiation: a wavelength of 1.5418 Å
Structure: a GGA-PBE-relaxed structure
Kinematic intensities with the Lorentz-polarization factor, no thermal factor.

Crystal structure
```
data_Pm4Pr3Ag
_chemical_formula_sum 'Pm4 Pr3 Ag1'
_space_group_name_H-M_alt 'P 4/m m m'
_space_group_IT_number 123
_space_group_name_Hall '-P 4 2'
_cell_length_a 3.693
_cell_length_b 3.693
_cell_length_c 19.425
_cell_angle_alpha 90.00
_cell_angle_beta 90.00
_cell_angle_gamma 90.00
loop_
_atom_site_label
_atom_site_type_symbol
_atom_site_fract_x
_atom_site_fract_y
_atom_site_fract_z
Pm1 Pm 0.000 0.000 0.098
Pm2 Pm 0.000 0.000 0.366
Pr1 Pr 0.500 0.500 0.232
Pr2 Pr 0.500 0.500 0.500
Ag1 Ag 0.500 0.500 0.000
```

Most intense lines, 2θ from 10° to 90°, low angle first:
| hkl | d/Å | intensity |
| --- | --- | --- |
| 1 0 3 | 3.208 | 9 |
| 1 0 4 | 2.940 | 100 |
| 1 1 0 | 2.612 | 44 |
| 0 0 8 | 2.428 | 8 |
| 1 1 7 | 1.902 | 10 |
| 2 0 0 | 1.847 | 16 |
| 1 1 8 | 1.778 | 13 |
| 1 0 11 | 1.593 | 11 |
| 2 1 4 | 1.564 | 30 |
| 2 1 11 | 1.206 | 9 |

=====

Record 5
Computed powder XRD pattern
Compound: Pm5PrAg6
Radiation: a wavelength of 1.5418 Å
Structure: a GGA-PBE-relaxed structure
Kinematic intensities with the Lorentz-polarization factor, no thermal factor.

Crystal structure
```
data_Pm5PrAg6
_chemical_formula_sum 'Pm10 Pr2 Ag12'
_space_group_name_H-M_alt 'C m m m'
_space_group_IT_number 65
_space_group_name_Hall '-C 2 2'
_cell_length_a 5.324
_cell_length_b 15.970
_cell_length_c 7.392
_cell_angle_alpha 90.00
_cell_angle_beta 90.00
_cell_angle_gamma 90.00
loop_
_atom_site_label
_atom_site_type_symbol
_atom_site_fract_x
_atom_site_fract_y
_atom_site_fract_z
Pm1 Pm 0.000 0.000 0.000
Pm2 Pm 0.000 0.333 0.500
Pm3 Pm 0.000 0.334 0.000
Pr1 Pr 0.000 0.000 0.500
Ag1 Ag 0.000 0.168 0.248
Ag2 Ag 0.000 0.500 0.246
```

Most intense lines, 2θ from 10° to 90°, low angle first:
| hkl | d/Å | intensity |
| --- | --- | --- |
| 2 0 0 | 2.662 | 51 |
| 1 3 2 | 2.637 | 100 |
| 2 6 0 | 1.882 | 18 |
| 0 0 4 | 1.848 | 9 |
| 3 3 2 | 1.532 | 37 |
| 2 0 4 | 1.518 | 18 |
| 2 6 4 | 1.319 | 11 |
| 4 6 0 | 1.190 | 8 |
| 3 9 2 | 1.188 | 8 |
| 1 3 6 | 1.171 | 8 |

=====

Record 6
Computed powder XRD pattern
Compound: Pm3Ag2Pt3
Radiation: a wavelength of 1.5418 Å
Structure: a GGA-PBE-relaxed structure
Kinematic intensities with the Lorentz-polarization factor, no thermal factor.

Crystal structure
```
data_Pm3Ag2Pt3
_chemical_formula_sum 'Pm6 Ag4 Pt6'
_space_group_name_H-M_alt 'P 63/m c m'
_space_group_IT_number 193
_space_group_name_Hall '-P 6c 2'
_cell_length_a 8.6885
_cell_length_b 8.6885
_cell_length_c 5.8016
_cell_angle_alpha 90.00
_cell_angle_beta 90.00
_cell_angle_gamma 120.00
loop_
_atom_site_label
_atom_site_type_symbol
_atom_site_fract_x
_atom_site_fract_y
_atom_site_fract_z
Pm1 Pm 0.0000 0.3018 0.2500
Ag1 Ag 0.3333 0.6667 0.0000
Pt1 Pt 0.0000 0.3633 0.7500
```

Most intense lines, 2θ from 10° to 90°, low angle first:
| hkl | d/Å | intensity |
| --- | --- | --- |
| 1 0 0 | 7.524 | 16 |
| 1 1 0 | 4.344 | 22 |
| 0 0 2 | 2.901 | 24 |
| 2 1 1 | 2.554 | 26 |
| 3 0 0 | 2.508 | 100 |
| 1 1 2 | 2.412 | 71 |
| 3 0 2 | 1.897 | 32 |
| 2 2 2 | 1.739 | 22 |
| 4 1 2 | 1.429 | 20 |
| 3 0 4 | 1.256 | 23 |

=====

Record 7
Computed powder XRD pattern
Compound: Pm7Ag2Pt2
Radiation: a wavelength of 1.5418 Å
Structure: a GGA-PBE-relaxed structure
Kinematic intensities with the Lorentz-polarization factor, no thermal factor.

Crystal structure
```
data_Pm7Ag2Pt2
_chemical_formula_sum 'Pm14 Ag4 Pt4'
_space_group_name_H-M_alt 'C m m m'
_space_group_IT_number 65
_space_group_name_Hall '-C 2 2'
_cell_length_a 8.140
_cell_length_b 11.173
_cell_length_c 7.334
_cell_angle_alpha 90.00
_cell_angle_beta 90.00
_cell_angle_gamma 90.00
loop_
_atom_site_label
_atom_site_type_symbol
_atom_site_fract_x
_atom_site_fract_y
_atom_site_fract_z
Pm1 Pm 0.000 0.000 0.000
Pm2 Pm 0.000 0.500 0.253
Pm3 Pm 0.250 0.250 0.260
Ag1 Ag 0.176 0.000 0.500
Pt1 Pt 0.000 0.287 0.000
```

Most intense lines, 2θ from 10° to 90°, low angle first:
| hkl | d/Å | intensity |
| --- | --- | --- |
| 0 2 1 | 4.444 | 23 |
| 2 0 1 | 3.559 | 44 |
| 2 2 0 | 3.290 | 23 |
| 1 1 2 | 3.203 | 29 |
| 0 4 0 | 2.793 | 53 |
| 2 0 2 | 2.724 | 21 |
| 1 3 2 | 2.488 | 43 |
| 2 2 2 | 2.449 | 100 |
| 0 0 4 | 1.834 | 18 |
| 0 4 4 | 1.533 | 20 |

=====

Record 8
Computed powder XRD pattern
Compound: PmAgPtRh
Radiation: a wavelength of 1.5418 Å
Structure: a GGA-PBE-relaxed structure
Kinematic intensities with the Lorentz-polarization factor, no thermal factor.

Crystal structure
```
data_PmAgPtRh
_chemical_formula_sum 'Pm4 Ag4 Pt4 Rh4'
_space_group_name_H-M_alt 'F -4 3 m'
_space_group_IT_number 216
_space_group_name_Hall 'F -4 2 3'
_cell_length_a 6.740
_cell_length_b 6.740
_cell_length_c 6.740
_cell_angle_alpha 90.00
_cell_angle_beta 90.00
_cell_angle_gamma 90.00
loop_
_atom_site_label
_atom_site_type_symbol
_atom_site_fract_x
_atom_site_fract_y
_atom_site_fract_z
Pm1 Pm 0.000 0.000 0.000
Ag1 Ag 0.000 0.000 0.500
Pt1 Pt 0.250 0.250 0.250
Rh1 Rh 0.250 0.250 0.750
```

Most intense lines, 2θ from 10° to 90°, low angle first:
| hkl | d/Å | intensity |
| --- | --- | --- |
| 1 1 1 | 3.891 | 6 |
| 2 0 0 | 3.370 | 1 |
| 2 2 0 | 2.383 | 100 |
| 3 1 1 | 2.032 | 4 |
| 4 0 0 | 1.685 | 17 |
| 3 3 1 | 1.546 | 2 |
| 4 2 2 | 1.376 | 35 |
| 5 1 1 | 1.297 | 1 |
| 4 4 0 | 1.192 | 11 |
| 5 3 1 | 1.139 | 1 |